For SnPtPb2O6, a cell relaxed with PBE gives the simulated powder XRD pattern in this record (Cu Kα (λ = 1.5418 Å)).
Lines closer than 0.1° are merged.

Top 12 peaks for 10° ≤ 2θ ≤ 80°, in order of rising 2θ:
d_spacing	I (rel.)
4.701	5
2.889	100
2.828	98
2.351	4
2.021	49
1.668	24
1.656	43
1.621	19
1.445	15
1.414	15
1.287	18
1.270	18

Structure:
```
10
Lattice="2.889 1.668 4.570 -2.889 1.668 4.570 0.000 -3.336 4.570" Properties=species:S:1:pos:R:3 pbc="T T T"
Sn 0.000 0.000 0.000
Pt 0.000 0.000 6.855
Pb 0.000 0.000 3.466
Pb 0.000 0.000 10.243
O -0.415 -1.635 5.703
O -1.623 -0.459 8.006
O -1.209 1.177 5.703
O 1.209 -1.177 8.006
O 1.623 0.459 5.703
O 0.415 1.635 8.006
```

=====

For Sr4Pt4PbO11, a cell relaxed with PBE gives the simulated powder XRD pattern in this record (Cu Kα (λ = 1.5418 Å)).
Lines closer than 0.1° are merged.

Top 12 peaks for 10° ≤ 2θ ≤ 80°, in order of rising 2θ:
d_spacing	I (rel.)
7.088	81
5.036	24
4.984	30
3.163	22
2.893	91
2.872	100
2.850	86
2.509	57
2.490	34
2.487	36
2.118	26
1.576	22

Structure:
```
40
Lattice="5.700 0.000 0.000 -0.002 9.974 0.000 -0.018 -0.067 10.072" Properties=species:S:1:pos:R:3 pbc="T T T"
Sr 1.411 0.326 3.963
Sr 1.420 1.247 0.479
Sr 1.410 3.801 4.849
Sr 1.424 4.640 1.276
Sr 4.255 5.267 8.796
Sr 4.270 6.107 5.223
Sr 4.259 8.660 9.594
Sr 4.268 9.581 6.109
Pt 1.408 1.177 7.282
Pt 1.404 3.674 8.229
Pt 1.423 7.954 1.059
Pt 1.421 7.021 3.574
Pt 4.258 2.886 6.499
Pt 4.257 1.953 9.014
Pt 4.275 6.233 1.844
Pt 4.271 8.731 2.790
Pb 1.593 7.363 7.389
Pb 4.087 2.544 2.683
O -0.006 3.259 9.657
O 0.016 5.611 3.128
O 0.045 9.384 1.518
O 0.062 1.671 5.861
O 1.379 9.357 6.382
O 1.407 6.260 5.429
O 1.828 2.504 2.652
O 2.773 1.649 5.871
O 2.815 9.376 1.496
O 2.828 3.271 9.646
O 2.837 4.283 6.937
O 2.843 5.625 3.135
O 2.851 6.637 0.427
O 2.864 0.531 8.577
O 2.906 8.258 4.202
O 3.851 7.403 7.421
O 4.272 3.648 4.644
O 4.301 0.550 3.691
O 5.617 8.236 4.212
O 5.634 0.523 8.554
O 5.664 4.297 6.945
O 5.685 6.649 0.416
```

=====

For ScTaPb2O6, a cell relaxed with PBE gives the simulated powder XRD pattern in this record (Cu Kα (λ = 1.5418 Å)).
Lines closer than 0.1° are merged.

Top 12 peaks for 10° ≤ 2θ ≤ 80°, in order of rising 2θ:
d_spacing	I (rel.)
4.687	17
2.878	100
2.855	52
2.343	12
2.051	14
2.019	26
1.666	22
1.653	43
1.439	17
1.295	9
1.279	8
1.277	10

Structure:
```
10
Lattice="-2.855 2.855 4.102 2.855 -2.855 4.102 2.855 2.855 -4.102" Properties=species:S:1:pos:R:3 pbc="T T T"
Sc 0.000 0.000 0.000
Ta 0.000 0.000 4.102
Pb 2.855 0.000 2.051
Pb 0.000 2.855 2.051
O 1.719 1.211 0.000
O 0.000 0.000 2.101
O 1.644 -1.137 4.102
O 1.211 3.992 0.000
O 0.000 0.000 6.103
O 1.137 1.644 4.102
```

=====

For Tb2Si3Pb3O12, a cell relaxed with PBE gives the simulated powder XRD pattern in this record (Cu Kα (λ = 1.5418 Å)).
Lines closer than 0.1° are merged.

Top 12 peaks for 10° ≤ 2θ ≤ 80°, in order of rising 2θ:
d_spacing	I (rel.)
4.180	29
3.947	43
3.172	32
3.160	39
2.870	100
2.795	50
2.787	24
1.973	24
1.920	26
1.852	29
1.824	23
1.785	31

Structure:
```
40
Lattice="9.653 0.000 0.000 -4.826 8.360 0.000 0.000 0.000 6.858" Properties=species:S:1:pos:R:3 pbc="T T T"
Tb 0.000 5.573 0.026
Tb 0.000 5.573 3.403
Tb 4.826 2.787 3.455
Tb 4.826 2.787 6.832
Si -2.658 5.110 5.143
Si 1.730 3.503 5.143
Si 3.899 0.253 1.714
Si 0.928 8.106 5.143
Si 3.096 4.856 1.714
Si 7.484 3.250 1.714
Pb -1.065 2.062 5.143
Pb -2.508 8.251 5.143
Pb 1.253 1.954 1.714
Pb 3.573 6.406 5.143
Pb 7.334 0.108 1.714
Pb 5.892 6.298 1.714
O -2.584 6.060 3.806
O -2.584 6.060 6.481
O -1.170 4.368 5.143
O -0.945 4.305 1.714
O 0.871 3.092 3.806
O 0.871 3.092 6.481
O -0.626 7.026 1.714
O 3.113 0.792 0.377
O 3.113 0.792 3.052
O -0.458 7.189 5.143
O 1.628 5.162 5.143
O 1.571 5.389 1.714
O 3.255 2.971 5.143
O 3.198 3.198 1.714
O 5.284 1.171 1.714
O 1.714 7.568 3.806
O 1.714 7.568 6.481
O 5.452 1.333 5.143
O 3.956 5.268 0.377
O 3.956 5.268 3.052
O 5.772 4.055 5.143
O 5.997 3.991 1.714
O 7.411 2.300 0.377
O 7.411 2.300 3.052
```

=====

For SmPbO3, a cell relaxed with PBE gives the simulated powder XRD pattern in this record (Cu Kα (λ = 1.5418 Å)).
Lines closer than 0.1° are merged.

Top 12 peaks for 10° ≤ 2θ ≤ 80°, in order of rising 2θ:
d_spacing	I (rel.)
3.057	100
3.030	24
2.931	16
2.221	11
2.107	19
1.791	14
1.770	11
1.755	21
1.715	16
1.528	10
1.397	10
1.339	7

Structure:
```
10
Lattice="-3.030 4.442 2.931 3.030 -4.442 2.931 3.030 4.442 -2.931" Properties=species:S:1:pos:R:3 pbc="T T T"
Sm 0.000 2.221 0.280
Sm 3.030 2.221 2.650
Pb 3.030 0.000 0.000
Pb 0.000 0.000 2.931
O 3.030 2.221 -0.972
O 1.515 5.285 -1.465
O 1.515 0.843 1.465
O -1.515 3.599 1.465
O 1.515 3.599 1.465
O 0.000 2.221 3.902
```

=====

For SmPbO3, a cell relaxed with PBE gives the simulated powder XRD pattern in this record (Cu Kα (λ = 1.5418 Å)).
Lines closer than 0.1° are merged.

Top 12 peaks for 10° ≤ 2θ ≤ 80°, in order of rising 2θ:
d_spacing	I (rel.)
4.272	2
4.250	2
3.016	100
2.136	16
2.125	9
1.743	31
1.738	16
1.510	5
1.506	10
1.351	13
1.345	6
1.231	5

Structure:
```
10
Lattice="6.042 0.000 0.000 0.000 6.042 0.000 0.000 0.000 4.250" Properties=species:S:1:pos:R:3 pbc="T T T"
Sm 0.000 3.021 0.000
Sm 3.021 0.000 0.000
Pb 0.000 0.000 2.125
Pb 3.021 3.021 2.125
O 0.000 0.000 0.000
O 0.904 2.116 2.125
O 2.116 5.137 2.125
O 3.021 3.021 0.000
O 3.925 0.904 2.125
O 5.137 3.925 2.125
```

=====

For Ta4PbO11, a cell relaxed with PBE gives the simulated powder XRD pattern in this record (Cu Kα (λ = 1.5418 Å)).
Lines closer than 0.1° are merged.

Top 12 peaks for 10° ≤ 2θ ≤ 80°, in order of rising 2θ:
d_spacing	I (rel.)
5.347	19
5.186	15
4.362	14
3.079	49
3.024	67
2.783	100
2.484	24
1.933	18
1.801	33
1.715	29
1.555	35
1.512	15

Structure:
```
32
Lattice="3.120 1.801 12.317 -3.120 1.801 12.317 0.000 -3.602 12.317" Properties=species:S:1:pos:R:3 pbc="T T T"
Ta 0.000 0.000 0.000
Ta -0.810 -1.802 15.387
Ta -2.000 -0.137 21.544
Ta -1.156 1.602 15.387
Ta 0.000 0.000 18.451
Ta 1.119 -1.664 21.544
Ta 1.965 0.200 15.387
Ta 0.881 1.801 21.544
Pb 0.000 0.000 24.722
Pb 0.000 0.000 30.702
O -2.337 -0.445 15.388
O -0.767 -1.330 9.233
O -0.691 -2.140 13.450
O 0.000 0.000 3.469
O -0.695 -1.466 17.328
O -0.769 1.330 9.233
O -2.088 -0.544 23.470
O -1.604 -0.253 19.621
O -1.508 1.668 13.450
O 0.000 0.000 14.991
O -0.922 1.335 17.328
O 1.536 0.001 9.233
O 1.554 -1.801 15.388
O 1.021 -1.263 19.621
O 0.000 0.000 21.940
O 1.515 -1.536 23.470
O 1.617 0.131 17.328
O 0.783 2.247 15.388
O 2.199 0.472 13.450
O 0.583 1.516 19.621
O 0.000 0.000 33.459
O 0.572 2.080 23.470
```

=====

For Ta3PbO6, a cell relaxed with PBE gives the simulated powder XRD pattern in this record (Cu Kα (λ = 1.5418 Å)).
Lines closer than 0.1° are merged.

Top 12 peaks for 10° ≤ 2θ ≤ 80°, in order of rising 2θ:
d_spacing	I (rel.)
6.417	73
4.405	28
3.631	35
3.208	45
2.593	15
2.543	80
2.364	27
1.993	100
1.637	12
1.468	21
1.357	26
1.335	21

Structure:
```
20
Lattice="5.086 0.000 0.000 -2.543 4.405 0.000 0.000 0.000 12.833" Properties=species:S:1:pos:R:3 pbc="T T T"
Ta 0.000 0.000 3.208
Ta 0.000 0.000 9.625
Ta 0.000 2.936 3.208
Ta 0.000 2.936 9.625
Ta 2.543 1.468 3.208
Ta 2.543 1.468 9.625
Pb 0.000 0.000 0.000
Pb 0.000 0.000 6.417
O -0.847 1.466 1.944
O -0.847 1.466 4.472
O -1.696 2.938 8.361
O -1.696 2.938 10.889
O 1.693 0.000 1.944
O 1.693 0.000 4.472
O 0.847 1.466 8.361
O 0.847 1.466 10.889
O 3.393 0.000 8.361
O 3.393 0.000 10.889
O 1.696 2.938 1.944
O 1.696 2.938 4.472
```

=====

For TmPbO3, a cell relaxed with PBE gives the simulated powder XRD pattern in this record (Cu Kα (λ = 1.5418 Å)).
Lines closer than 0.1° are merged.

Top 12 peaks for 10° ≤ 2θ ≤ 80°, in order of rising 2θ:
d_spacing	I (rel.)
3.001	21
2.964	100
2.867	21
2.120	11
2.073	18
1.732	10
1.726	16
1.705	11
1.673	23
1.482	11
1.338	10
1.314	8

Structure:
```
20
Lattice="6.002 0.000 0.000 0.000 8.481 0.000 0.000 0.000 5.734" Properties=species:S:1:pos:R:3 pbc="T T T"
Tm 0.307 2.120 0.057
Tm 2.694 6.360 2.923
Tm 3.308 2.120 2.810
Tm 5.695 6.360 5.677
Pb 0.000 0.000 2.867
Pb 0.000 4.240 2.867
Pb 3.001 0.000 0.000
Pb 3.001 4.240 0.000
O 0.671 6.360 1.864
O 1.067 4.950 4.727
O 1.067 7.771 4.727
O 1.934 0.709 1.861
O 1.934 3.531 1.861
O 2.330 2.120 4.731
O 3.672 6.360 1.002
O 4.068 4.950 3.873
O 4.068 7.771 3.873
O 4.935 0.709 1.006
O 4.935 3.531 1.006
O 5.331 2.120 3.869
```

=====

For TmZn3Pb4O12, a cell relaxed with PBE gives the simulated powder XRD pattern in this record (Cu Kα (λ = 1.5418 Å)).
Lines closer than 0.1° are merged.

Top 12 peaks for 10° ≤ 2θ ≤ 80°, in order of rising 2θ:
d_spacing	I (rel.)
5.695	4
4.027	18
2.847	100
2.325	4
2.152	3
2.013	22
1.801	10
1.644	47
1.424	13
1.342	4
1.273	18
1.214	3

Structure:
```
20
Lattice="-4.027 4.027 4.027 4.027 -4.027 4.027 4.027 4.027 -4.027" Properties=species:S:1:pos:R:3 pbc="T T T"
Tm 0.000 0.000 0.000
Zn 4.027 0.000 0.000
Zn 0.000 4.027 0.000
Zn 0.000 0.000 4.027
Pb 2.013 2.013 -2.013
Pb 2.013 -2.013 2.013
Pb -2.013 2.013 2.013
Pb 2.013 2.013 2.013
O 4.027 2.749 -1.603
O 2.424 0.000 1.278
O 5.629 0.000 1.278
O 1.278 2.424 0.000
O 2.749 -1.603 4.027
O 0.000 1.278 2.424
O 4.027 2.749 1.603
O 1.278 5.629 0.000
O 2.749 1.603 4.027
O -1.603 4.027 2.749
O 1.603 4.027 2.749
O 0.000 1.278 5.629
```

=====

For PdO, a cell relaxed with PBE gives the simulated powder XRD pattern in this record (Cu Kα (λ = 1.5418 Å)).
Lines closer than 0.1° are merged.

Top 12 peaks for 10° ≤ 2θ ≤ 80°, in order of rising 2θ:
d_spacing	I (rel.)
2.727	38
2.674	100
2.616	98
2.278	23
2.021	17
1.783	19
1.716	17
1.624	28
1.576	20
1.540	18
1.512	22
1.364	19

Structure:
```
4
Lattice="2.280 -2.021 0.000 2.280 2.021 0.000 -0.212 0.000 5.453" Properties=species:S:1:pos:R:3 pbc="T T T"
Pd 1.140 1.011 0.000
Pd 1.034 -1.011 2.727
O 2.121 1.977 4.090
O 2.227 -1.977 1.363
```